Computed powder XRD pattern of CePr4Sn3 for copper Kα, from a cell relaxed with GGA-PBE.

Crystal structure
```
CePr4Sn3
1.0
-6.3337 6.3337 3.0863
6.3337 -6.3337 3.0863
6.3337 6.3337 -3.0863
Ce Pr Sn
2 8 6
direct
0.2500 0.7500 0.5000
0.7500 0.2500 0.5000
0.0831 0.7808 0.8638
0.2192 0.0831 0.3023
0.2808 0.5831 0.8638
0.4169 0.2808 0.6977
0.5831 0.7192 0.3023
0.7192 0.4169 0.1362
0.7808 0.9169 0.6977
0.9169 0.2192 0.1362
0.1597 0.3403 0.5000
0.2500 0.2500 0.0000
0.3403 0.8403 0.1807
0.6597 0.1597 0.8193
0.7500 0.7500 0.0000
0.8403 0.6597 0.5000
```

The 10 most intense peaks (2θ = 5–70°), in order of rising 2θ:
two_theta, d_spacing, Rel. int.
28.9, 3.086, 21
29.2, 3.053, 62
31.6, 2.833, 68
32.3, 2.774, 48
32.6, 2.750, 100
35.3, 2.541, 38
41.1, 2.198, 19
53.6, 1.710, 25
59.7, 1.549, 22
60.7, 1.527, 22

Computed powder XRD pattern of Ce2PrSn3 for copper Kα, from a cell relaxed with GGA-PBE.

Crystal structure
```
Ce2PrSn3
1.0
7.1236 0.0000 0.0000
0.0000 4.8921 0.0000
0.0000 0.0000 10.1758
Ce Pr Sn
4 2 6
direct
0.0000 0.0000 0.0000
0.2500 0.5000 0.2023
0.5000 0.0000 0.0000
0.7500 0.5000 0.7977
0.2500 0.5000 0.5681
0.7500 0.5000 0.4319
0.0410 0.0000 0.3518
0.2500 0.5000 0.8849
0.4590 0.0000 0.3518
0.5410 0.0000 0.6482
0.7500 0.5000 0.1151
0.9590 0.0000 0.6482
```

The 10 most intense peaks (2θ = 5–70°), in order of rising 2θ:
two_theta, d_spacing, Rel. int.
29.2, 3.062, 19
31.1, 2.879, 100
32.1, 2.787, 55
34.6, 2.596, 31
36.6, 2.456, 35
36.7, 2.446, 35
52.8, 1.733, 25
61.8, 1.501, 11
62.7, 1.483, 14
64.8, 1.440, 15

Computed powder XRD pattern of CePrSn3 for copper Kα, from a cell relaxed with GGA-PBE.

Crystal structure
```
CePrSn3
1.0
4.4179 0.0000 0.0000
0.0000 6.8147 0.0000
0.0000 0.0000 10.0132
Ce Pr Sn
2 2 6
direct
0.2500 0.2500 0.0386
0.7500 0.7500 0.9614
0.2500 0.7500 0.3849
0.7500 0.2500 0.6151
0.2500 0.2500 0.3690
0.2500 0.5164 0.7769
0.2500 0.9836 0.7769
0.7500 0.0164 0.2231
0.7500 0.4836 0.2231
0.7500 0.7500 0.6310
```

The 10 most intense peaks (2θ = 5–70°), in order of rising 2θ:
two_theta, d_spacing, Rel. int.
25.6, 3.476, 25
26.9, 3.313, 36
31.8, 2.817, 38
33.7, 2.663, 65
34.4, 2.605, 100
37.7, 2.384, 30
40.9, 2.209, 32
44.9, 2.018, 21
56.8, 1.620, 20
65.8, 1.419, 27